Entry 1:
Structure and computed powder XRD pattern of AlIn2W (a crystal structure in Alexandria, relaxed with PBE; CuKα).

Principal peaks in the range 5 to 70 degrees two-theta, sorted by position:
- 2θ 17.23, I 40
- 2θ 17.49, I 21
- 2θ 34.87, I 56
- 2θ 35.76, I 14
- 2θ 37.01, I 100
- 2θ 37.25, I 50
- 2θ 41.89, I 33
- 2θ 42.73, I 67
- 2θ 59.78, I 21
- 2θ 62.97, I 21

Atomic structure:
Cell lengths 5.402, 5.402, 5.122 Å; angles 97.83, 97.83, 31.58 degrees
Fractional coordinates of all 4 atoms:
Al  0.000  0.000  0.000
In  0.538  0.538  0.541
In  0.767  0.767  0.263
W  0.283  0.283  0.776

=====

Entry 2:
Structure and computed powder XRD pattern of Y5Al4In (a crystal structure in Alexandria, relaxed with PBE; CuKα).

Principal peaks in the range 5 to 70 degrees two-theta, sorted by position:
- 2θ 9.54, I 6
- 2θ 24.00, I 7
- 2θ 24.68, I 14
- 2θ 31.43, I 7
- 2θ 34.70, I 100
- 2θ 35.19, I 50
- 2θ 49.15, I 8
- 2θ 50.62, I 17
- 2θ 61.88, I 16
- 2θ 62.83, I 34

Atomic structure:
Cell lengths 3.607, 3.607, 18.536 Å; angles 90.00, 90.00, 90.00 degrees
Fractional coordinates of all 10 atoms:
Y  0.000  0.000  0.000
Y  0.000  0.000  0.194
Y  0.000  0.000  0.391
Y  0.000  0.000  0.609
Y  0.000  0.000  0.806
Al  0.500  0.500  0.097
Al  0.500  0.500  0.292
Al  0.500  0.500  0.708
Al  0.500  0.500  0.903
In  0.500  0.500  0.500